This entry pairs a crystal structure of Sr3SmHo3S8 with its simulated powder diffractogram. Radiation: Cu Kα, 1.54184 Å. Structure: a PBE-relaxed structure.
Neutral-atom scattering factors, no anomalous dispersion.

The 12 most intense peaks (5 to 70 degrees two-theta), in order of rising 2θ:
- 12.9 deg, I = 33
- 26.1 deg, I = 30
- 27.2 deg, I = 41
- 31.1 deg, I = 100
- 43.9 deg, I = 37
- 45.3 deg, I = 35
- 47.3 deg, I = 8
- 51.8 deg, I = 8
- 53.0 deg, I = 17
- 53.6 deg, I = 13
- 56.0 deg, I = 22
- 64.9 deg, I = 12

```
data_Sr3SmHo3S8
_chemical_formula_sum 'Sr3 Sm1 Ho3 S8'
_space_group_name_H-M_alt 'P 1'
_space_group_IT_number 1
_space_group_name_Hall 'P 1'
_cell_length_a 8.257
_cell_length_b 8.257
_cell_length_c 8.257
_cell_angle_alpha 57.97
_cell_angle_beta 57.97
_cell_angle_gamma 57.97
loop_
_atom_site_label
_atom_site_type_symbol
_atom_site_fract_x
_atom_site_fract_y
_atom_site_fract_z
Sr1 Sr 0.000 0.500 0.500
Sr2 Sr 0.500 0.000 0.500
Sr3 Sr 0.500 0.500 0.000
Sm1 Sm 0.500 0.500 0.500
Ho1 Ho 0.000 0.000 0.500
Ho2 Ho 0.000 0.500 0.000
Ho3 Ho 0.500 0.000 0.000
S1 S 0.236 0.745 0.745
S2 S 0.242 0.242 0.242
S3 S 0.255 0.255 0.764
S4 S 0.255 0.764 0.255
S5 S 0.745 0.236 0.745
S6 S 0.745 0.745 0.236
S7 S 0.758 0.758 0.758
S8 S 0.764 0.255 0.255
```



This entry pairs a crystal structure of Tb2ErTm2Mg with its simulated powder diffractogram. Radiation: Cu Kα, 1.54184 Å. Structure: a PBE-relaxed structure.
Neutral-atom scattering factors, no anomalous dispersion.

The 12 most intense peaks (5 to 70 degrees two-theta), in order of rising 2θ:
- 11.6 deg, I = 78
- 17.5 deg, I = 39
- 19.2 deg, I = 65
- 30.5 deg, I = 83
- 30.7 deg, I = 33
- 31.5 deg, I = 100
- 31.8 deg, I = 43
- 35.1 deg, I = 80
- 37.4 deg, I = 56
- 38.9 deg, I = 50
- 61.1 deg, I = 36
- 61.4 deg, I = 29

```
data_Tb2ErTm2Mg
_chemical_formula_sum 'Tb4 Er2 Tm4 Mg2'
_space_group_name_H-M_alt 'P 1'
_space_group_IT_number 1
_space_group_name_Hall 'P 1'
_cell_length_a 10.086
_cell_length_b 11.710
_cell_length_c 3.597
_cell_angle_alpha 90.00
_cell_angle_beta 90.00
_cell_angle_gamma 90.00
loop_
_atom_site_label
_atom_site_type_symbol
_atom_site_fract_x
_atom_site_fract_y
_atom_site_fract_z
Tb1 Tb 0.099 0.221 0.000
Tb2 Tb 0.401 0.721 0.500
Tb3 Tb 0.599 0.279 0.500
Tb4 Tb 0.901 0.779 0.000
Er1 Er 0.000 0.000 0.500
Er2 Er 0.500 0.500 0.000
Tm1 Tm 0.250 0.427 0.500
Tm2 Tm 0.250 0.927 0.000
Tm3 Tm 0.750 0.073 0.000
Tm4 Tm 0.750 0.573 0.500
Mg1 Mg 0.000 0.500 0.000
Mg2 Mg 0.500 0.000 0.500
```



This entry pairs a crystal structure of La3Dy2Y5 with its simulated powder diffractogram. Radiation: Cu Kα, 1.54184 Å. Structure: a PBE-relaxed structure.
Neutral-atom scattering factors, no anomalous dispersion.

The 12 most intense peaks (5 to 70 degrees two-theta), in order of rising 2θ:
- 19.6 deg, I = 20
- 21.4 deg, I = 18
- 29.6 deg, I = 79
- 30.7 deg, I = 100
- 32.0 deg, I = 31
- 33.1 deg, I = 45
- 36.5 deg, I = 26
- 39.3 deg, I = 19
- 46.7 deg, I = 22
- 48.8 deg, I = 18
- 63.6 deg, I = 21
- 68.1 deg, I = 18

```
data_La3Dy2Y5
_chemical_formula_sum 'La6 Dy4 Y10'
_space_group_name_H-M_alt 'P 1'
_space_group_IT_number 1
_space_group_name_Hall 'P 1'
_cell_length_a 9.901
_cell_length_b 9.901
_cell_length_c 9.309
_cell_angle_alpha 108.49
_cell_angle_beta 108.49
_cell_angle_gamma 113.72
loop_
_atom_site_label
_atom_site_type_symbol
_atom_site_fract_x
_atom_site_fract_y
_atom_site_fract_z
La1 La 0.019 0.272 0.049
La2 La 0.232 0.768 0.750
La3 La 0.272 0.019 0.549
La4 La 0.728 0.981 0.451
La5 La 0.768 0.232 0.250
La6 La 0.981 0.728 0.951
Dy1 Dy 0.233 0.470 0.459
Dy2 Dy 0.470 0.233 0.959
Dy3 Dy 0.530 0.767 0.041
Dy4 Dy 0.767 0.530 0.541
Y1 Y 0.025 0.975 0.750
Y2 Y 0.146 0.374 0.769
Y3 Y 0.275 0.725 0.250
Y4 Y 0.374 0.146 0.269
Y5 Y 0.471 0.529 0.250
Y6 Y 0.529 0.471 0.750
Y7 Y 0.626 0.854 0.731
Y8 Y 0.725 0.275 0.750
Y9 Y 0.854 0.626 0.231
Y10 Y 0.975 0.025 0.250
```



This entry pairs a crystal structure of Na8Cd6Sn with its simulated powder diffractogram. Radiation: Cu Kα, 1.54184 Å. Structure: a PBE-relaxed structure.
Neutral-atom scattering factors, no anomalous dispersion.

The 12 most intense peaks (5 to 70 degrees two-theta), in order of rising 2θ:
- 12.0 deg, I = 9
- 16.1 deg, I = 73
- 18.7 deg, I = 12
- 24.8 deg, I = 11
- 32.6 deg, I = 25
- 32.7 deg, I = 51
- 36.7 deg, I = 100
- 46.9 deg, I = 31
- 58.4 deg, I = 14
- 60.9 deg, I = 18
- 61.0 deg, I = 13
- 68.6 deg, I = 21

```
data_Na8Cd6Sn
_chemical_formula_sum 'Na8 Cd6 Sn1'
_space_group_name_H-M_alt 'P 1'
_space_group_IT_number 1
_space_group_name_Hall 'P 1'
_cell_length_a 7.752
_cell_length_b 7.752
_cell_length_c 7.752
_cell_angle_alpha 75.37
_cell_angle_beta 75.37
_cell_angle_gamma 75.37
loop_
_atom_site_label
_atom_site_type_symbol
_atom_site_fract_x
_atom_site_fract_y
_atom_site_fract_z
Na1 Na 0.117 0.117 0.117
Na2 Na 0.211 0.211 0.576
Na3 Na 0.211 0.576 0.211
Na4 Na 0.424 0.789 0.789
Na5 Na 0.576 0.211 0.211
Na6 Na 0.789 0.424 0.789
Na7 Na 0.789 0.789 0.424
Na8 Na 0.883 0.883 0.883
Cd1 Cd 0.167 0.500 0.833
Cd2 Cd 0.167 0.833 0.500
Cd3 Cd 0.500 0.167 0.833
Cd4 Cd 0.500 0.833 0.167
Cd5 Cd 0.833 0.167 0.500
Cd6 Cd 0.833 0.500 0.167
Sn1 Sn 0.500 0.500 0.500
```



This entry pairs a crystal structure of K2TiHgS4 with its simulated powder diffractogram. Radiation: Cu Kα, 1.54184 Å. Structure: a PBE-relaxed structure.
Neutral-atom scattering factors, no anomalous dispersion.

The 12 most intense peaks (5 to 70 degrees two-theta), in order of rising 2θ:
- 15.7 deg, I = 84
- 17.5 deg, I = 19
- 24.8 deg, I = 25
- 26.3 deg, I = 100
- 29.5 deg, I = 28
- 31.7 deg, I = 12
- 35.4 deg, I = 28
- 40.9 deg, I = 18
- 44.6 deg, I = 42
- 46.7 deg, I = 15
- 47.2 deg, I = 28
- 58.2 deg, I = 16

```
data_K2TiHgS4
_chemical_formula_sum 'K4 Ti2 Hg2 S8'
_space_group_name_H-M_alt 'P 1'
_space_group_IT_number 1
_space_group_name_Hall 'P 1'
_cell_length_a 7.171
_cell_length_b 7.171
_cell_length_c 9.134
_cell_angle_alpha 90.00
_cell_angle_beta 90.00
_cell_angle_gamma 90.00
loop_
_atom_site_label
_atom_site_type_symbol
_atom_site_fract_x
_atom_site_fract_y
_atom_site_fract_z
K1 K 0.000 0.000 0.000
K2 K 0.000 0.500 0.250
K3 K 0.500 0.000 0.750
K4 K 0.500 0.500 0.500
Ti1 Ti 0.000 0.000 0.500
Ti2 Ti 0.500 0.500 0.000
Hg1 Hg 0.000 0.500 0.750
Hg2 Hg 0.500 0.000 0.250
S1 S 0.163 0.221 0.626
S2 S 0.221 0.837 0.374
S3 S 0.279 0.663 0.874
S4 S 0.337 0.279 0.126
S5 S 0.663 0.721 0.126
S6 S 0.721 0.337 0.874
S7 S 0.779 0.163 0.374
S8 S 0.837 0.779 0.626
```



This entry pairs a crystal structure of Ho3ErNi8 with its simulated powder diffractogram. Radiation: Cu Kα, 1.54184 Å. Structure: a PBE-relaxed structure.
Neutral-atom scattering factors, no anomalous dispersion.

The 12 most intense peaks (5 to 70 degrees two-theta), in order of rising 2θ:
- 21.6 deg, I = 14
- 35.6 deg, I = 65
- 42.0 deg, I = 100
- 43.9 deg, I = 4
- 44.0 deg, I = 11
- 51.2 deg, I = 1
- 56.1 deg, I = 2
- 56.2 deg, I = 2
- 63.8 deg, I = 6
- 63.9 deg, I = 18
- 68.2 deg, I = 8
- 68.3 deg, I = 23

```
data_Ho3ErNi8
_chemical_formula_sum 'Ho3 Er1 Ni8'
_space_group_name_H-M_alt 'P 1'
_space_group_IT_number 1
_space_group_name_Hall 'P 1'
_cell_length_a 8.757
_cell_length_b 8.757
_cell_length_c 8.757
_cell_angle_alpha 33.47
_cell_angle_beta 33.47
_cell_angle_gamma 33.47
loop_
_atom_site_label
_atom_site_type_symbol
_atom_site_fract_x
_atom_site_fract_y
_atom_site_fract_z
Ho1 Ho 0.000 0.000 0.000
Ho2 Ho 0.125 0.125 0.125
Ho3 Ho 0.625 0.625 0.625
Er1 Er 0.500 0.500 0.500
Ni1 Ni 0.062 0.062 0.562
Ni2 Ni 0.062 0.562 0.062
Ni3 Ni 0.063 0.562 0.562
Ni4 Ni 0.312 0.312 0.312
Ni5 Ni 0.562 0.062 0.062
Ni6 Ni 0.562 0.063 0.562
Ni7 Ni 0.562 0.562 0.063
Ni8 Ni 0.812 0.812 0.812
```



This entry pairs a crystal structure of La2TbHo6Er3 with its simulated powder diffractogram. Radiation: Cu Kα, 1.54184 Å. Structure: a PBE-relaxed structure.
Neutral-atom scattering factors, no anomalous dispersion.

The 10 most intense peaks (5 to 70 degrees two-theta), in order of rising 2θ:
- 7.6 deg, I = 2
- 30.7 deg, I = 100
- 30.8 deg, I = 33
- 35.7 deg, I = 67
- 51.3 deg, I = 24
- 51.4 deg, I = 24
- 61.0 deg, I = 43
- 61.1 deg, I = 14
- 64.0 deg, I = 12
- 64.2 deg, I = 4

```
data_La2TbHo6Er3
_chemical_formula_sum 'La2 Tb1 Ho6 Er3'
_space_group_name_H-M_alt 'P 1'
_space_group_IT_number 1
_space_group_name_Hall 'P 1'
_cell_length_a 6.172
_cell_length_b 6.172
_cell_length_c 11.783
_cell_angle_alpha 95.00
_cell_angle_beta 95.00
_cell_angle_gamma 119.98
loop_
_atom_site_label
_atom_site_type_symbol
_atom_site_fract_x
_atom_site_fract_y
_atom_site_fract_z
La1 La 0.167 0.833 0.000
La2 La 0.833 0.167 0.000
Tb1 Tb 0.500 0.500 0.000
Ho1 Ho 0.082 0.414 0.745
Ho2 Ho 0.254 0.254 0.255
Ho3 Ho 0.414 0.082 0.745
Ho4 Ho 0.586 0.918 0.255
Ho5 Ho 0.746 0.746 0.745
Ho6 Ho 0.918 0.586 0.255
Er1 Er 0.000 0.000 0.500
Er2 Er 0.334 0.666 0.500
Er3 Er 0.666 0.334 0.500
```



This entry pairs a crystal structure of PuHg6Pb with its simulated powder diffractogram. Radiation: Cu Kα, 1.54184 Å. Structure: a PBE-relaxed structure.
Neutral-atom scattering factors, no anomalous dispersion.

The 12 most intense peaks (5 to 70 degrees two-theta), in order of rising 2θ:
- 30.2 deg, I = 16
- 30.3 deg, I = 8
- 34.7 deg, I = 23
- 35.0 deg, I = 100
- 46.7 deg, I = 15
- 53.6 deg, I = 7
- 53.8 deg, I = 13
- 62.4 deg, I = 19
- 62.8 deg, I = 2
- 65.4 deg, I = 7
- 65.6 deg, I = 25
- 65.9 deg, I = 5

```
data_PuHg6Pb
_chemical_formula_sum 'Pu2 Hg12 Pb2'
_space_group_name_H-M_alt 'P 1'
_space_group_IT_number 1
_space_group_name_Hall 'P 1'
_cell_length_a 5.167
_cell_length_b 6.844
_cell_length_c 11.799
_cell_angle_alpha 90.00
_cell_angle_beta 90.00
_cell_angle_gamma 90.00
loop_
_atom_site_label
_atom_site_type_symbol
_atom_site_fract_x
_atom_site_fract_y
_atom_site_fract_z
Pu1 Pu 0.000 0.000 0.000
Pu2 Pu 0.000 0.500 0.500
Hg1 Hg 0.000 0.000 0.506
Hg2 Hg 0.000 0.238 0.746
Hg3 Hg 0.000 0.262 0.246
Hg4 Hg 0.000 0.500 0.006
Hg5 Hg 0.000 0.738 0.246
Hg6 Hg 0.000 0.762 0.746
Hg7 Hg 0.500 0.000 0.834
Hg8 Hg 0.500 0.250 0.082
Hg9 Hg 0.500 0.250 0.582
Hg10 Hg 0.500 0.500 0.334
Hg11 Hg 0.500 0.750 0.082
Hg12 Hg 0.500 0.750 0.582
Pb1 Pb 0.500 0.000 0.331
Pb2 Pb 0.500 0.500 0.831
```



This entry pairs a crystal structure of ScTl3As2O8 with its simulated powder diffractogram. Radiation: Cu Kα, 1.54184 Å. Structure: a PBE-relaxed structure.
Neutral-atom scattering factors, no anomalous dispersion.

The 12 most intense peaks (5 to 70 degrees two-theta), in order of rising 2θ:
- 20.8 deg, I = 39
- 21.8 deg, I = 12
- 28.2 deg, I = 100
- 30.8 deg, I = 100
- 37.5 deg, I = 20
- 37.6 deg, I = 16
- 38.1 deg, I = 13
- 42.3 deg, I = 36
- 53.2 deg, I = 35
- 54.8 deg, I = 20
- 55.1 deg, I = 37
- 64.2 deg, I = 16

```
data_ScTl3As2O8
_chemical_formula_sum 'Sc1 Tl3 As2 O8'
_space_group_name_H-M_alt 'P 1'
_space_group_IT_number 1
_space_group_name_Hall 'P 1'
_cell_length_a 5.802
_cell_length_b 5.802
_cell_length_c 8.149
_cell_angle_alpha 90.00
_cell_angle_beta 90.00
_cell_angle_gamma 120.00
loop_
_atom_site_label
_atom_site_type_symbol
_atom_site_fract_x
_atom_site_fract_y
_atom_site_fract_z
Sc1 Sc 0.000 0.000 0.000
Tl1 Tl 0.000 0.000 0.500
Tl2 Tl 0.333 0.667 0.253
Tl3 Tl 0.667 0.333 0.747
As1 As 0.333 0.667 0.777
As2 As 0.667 0.333 0.223
O1 O 0.171 0.341 0.847
O2 O 0.171 0.829 0.847
O3 O 0.333 0.667 0.570
O4 O 0.341 0.171 0.153
O5 O 0.659 0.829 0.847
O6 O 0.667 0.333 0.430
O7 O 0.829 0.171 0.153
O8 O 0.829 0.659 0.153
```



This entry pairs a crystal structure of Ba3AsH2 with its simulated powder diffractogram. Radiation: Cu Kα, 1.54184 Å. Structure: a PBE-relaxed structure.
Neutral-atom scattering factors, no anomalous dispersion.

The 12 most intense peaks (5 to 70 degrees two-theta), in order of rising 2θ:
- 21.7 deg, I = 20
- 22.8 deg, I = 32
- 24.0 deg, I = 50
- 26.5 deg, I = 21
- 27.3 deg, I = 100
- 29.4 deg, I = 28
- 30.2 deg, I = 18
- 32.3 deg, I = 27
- 34.3 deg, I = 36
- 37.7 deg, I = 28
- 47.1 deg, I = 17
- 49.1 deg, I = 16

```
data_Ba3AsH2
_chemical_formula_sum 'Ba6 As2 H4'
_space_group_name_H-M_alt 'P 1'
_space_group_IT_number 1
_space_group_name_Hall 'P 1'
_cell_length_a 12.584
_cell_length_b 12.584
_cell_length_c 6.789
_cell_angle_alpha 105.36
_cell_angle_beta 105.36
_cell_angle_gamma 21.86
loop_
_atom_site_label
_atom_site_type_symbol
_atom_site_fract_x
_atom_site_fract_y
_atom_site_fract_z
Ba1 Ba 0.056 0.056 0.324
Ba2 Ba 0.228 0.228 0.712
Ba3 Ba 0.395 0.395 0.139
Ba4 Ba 0.605 0.605 0.861
Ba5 Ba 0.772 0.772 0.288
Ba6 Ba 0.944 0.944 0.676
As1 As 0.351 0.351 0.606
As2 As 0.649 0.649 0.394
H1 H 0.064 0.064 0.737
H2 H 0.287 0.287 0.094
H3 H 0.713 0.713 0.906
H4 H 0.936 0.936 0.263
```



This entry pairs a crystal structure of Sm2Dy3Ge4 with its simulated powder diffractogram. Radiation: Cu Kα, 1.54184 Å. Structure: a PBE-relaxed structure.
Neutral-atom scattering factors, no anomalous dispersion.

The 12 most intense peaks (5 to 70 degrees two-theta), in order of rising 2θ:
- 26.0 deg, I = 29
- 29.9 deg, I = 38
- 30.6 deg, I = 37
- 32.2 deg, I = 100
- 32.8 deg, I = 55
- 33.2 deg, I = 83
- 33.7 deg, I = 91
- 35.7 deg, I = 33
- 36.4 deg, I = 40
- 36.6 deg, I = 48
- 37.1 deg, I = 92
- 57.1 deg, I = 23

```
data_Sm2Dy3Ge4
_chemical_formula_sum 'Sm4 Dy6 Ge8'
_space_group_name_H-M_alt 'P 1'
_space_group_IT_number 1
_space_group_name_Hall 'P 1'
_cell_length_a 7.984
_cell_length_b 7.853
_cell_length_c 7.660
_cell_angle_alpha 90.00
_cell_angle_beta 111.76
_cell_angle_gamma 90.00
loop_
_atom_site_label
_atom_site_type_symbol
_atom_site_fract_x
_atom_site_fract_y
_atom_site_fract_z
Sm1 Sm 0.198 0.181 0.064
Sm2 Sm 0.198 0.319 0.564
Sm3 Sm 0.802 0.681 0.436
Sm4 Sm 0.802 0.819 0.936
Dy1 Dy 0.238 0.664 0.231
Dy2 Dy 0.238 0.836 0.731
Dy3 Dy 0.500 0.000 0.500
Dy4 Dy 0.500 0.500 0.000
Dy5 Dy 0.762 0.164 0.269
Dy6 Dy 0.762 0.336 0.769
Ge1 Ge 0.088 0.537 0.829
Ge2 Ge 0.088 0.963 0.329
Ge3 Ge 0.492 0.130 0.871
Ge4 Ge 0.492 0.370 0.371
Ge5 Ge 0.508 0.630 0.629
Ge6 Ge 0.508 0.870 0.129
Ge7 Ge 0.912 0.037 0.671
Ge8 Ge 0.912 0.463 0.171
```



Number 4 is which compound?
Na8Cd6Sn